Record 1
For Nd2Ho3S8, a structure optimized by DFT (GGA-PBE) gives the theoretical XRD peak list in this record (Cu Kα).
No peak broadening, texture or thermal motion is included.

Largest 10 diffraction maxima, by angle, 10° ≤ 2θ ≤ 90°:
- 20.78 deg, d = 4.274 Å, rel. 99
- 23.31 deg, d = 3.816 Å, rel. 100
- 26.10 deg, d = 3.414 Å, rel. 60
- 26.31 deg, d = 3.387 Å, rel. 49
- 27.38 deg, d = 3.258 Å, rel. 97
- 34.54 deg, d = 2.597 Å, rel. 92
- 35.54 deg, d = 2.526 Å, rel. 44
- 41.87 deg, d = 2.158 Å, rel. 74
- 45.25 deg, d = 2.004 Å, rel. 48
- 46.35 deg, d = 1.959 Å, rel. 72

Crystal structure
```
Nd2Ho3S8
1.0
6.929 -4.009 0.000
6.929 4.009 0.000
-2.308 0.000 6.329
Nd Ho S
2 3 8
Direct
0.235 0.235 0.158
0.765 0.765 0.842
0.238 0.762 0.500
0.500 0.500 0.000
0.762 0.238 0.500
0.120 0.120 0.430
0.148 0.611 0.089
0.387 0.387 0.576
0.389 0.852 0.911
0.611 0.148 0.089
0.613 0.613 0.424
0.852 0.389 0.911
0.880 0.880 0.570
```

---

Record 2
For NdHo3S6, a structure optimized by DFT (GGA-PBE) gives the theoretical XRD peak list in this record (Cu Kα).
No peak broadening, texture or thermal motion is included.

Largest 10 diffraction maxima, by angle, 10° ≤ 2θ ≤ 90°:
- 23.56 deg, d = 3.775 Å, rel. 79
- 24.15 deg, d = 3.686 Å, rel. 100
- 26.23 deg, d = 3.397 Å, rel. 65
- 27.36 deg, d = 3.259 Å, rel. 45
- 27.57 deg, d = 3.235 Å, rel. 50
- 30.94 deg, d = 2.890 Å, rel. 71
- 34.17 deg, d = 2.624 Å, rel. 53
- 42.26 deg, d = 2.139 Å, rel. 61
- 43.81 deg, d = 2.067 Å, rel. 40
- 45.58 deg, d = 1.990 Å, rel. 50

Crystal structure
```
NdHo3S6
1.0
11.057 0.000 0.000
0.000 3.980 0.000
-3.641 0.000 10.728
Nd Ho S
2 6 12
Direct
0.048 0.250 0.194
0.952 0.750 0.806
0.161 0.250 0.586
0.320 0.750 0.998
0.440 0.250 0.332
0.560 0.750 0.668
0.680 0.250 0.002
0.839 0.750 0.414
0.082 0.750 0.406
0.117 0.250 0.963
0.196 0.750 0.749
0.263 0.750 0.227
0.395 0.250 0.560
0.478 0.250 0.111
0.522 0.750 0.889
0.605 0.750 0.440
0.737 0.250 0.773
0.804 0.250 0.251
0.883 0.750 0.037
0.918 0.250 0.594
```

---

Record 3
For Nd3Ho2S8, a structure optimized by DFT (GGA-PBE) gives the theoretical XRD peak list in this record (Cu Kα).
No peak broadening, texture or thermal motion is included.

Largest 10 diffraction maxima, by angle, 10° ≤ 2θ ≤ 90°:
- 15.57 deg, d = 5.693 Å, rel. 43
- 20.63 deg, d = 4.306 Å, rel. 100
- 23.04 deg, d = 3.860 Å, rel. 80
- 25.95 deg, d = 3.434 Å, rel. 98
- 27.01 deg, d = 3.302 Å, rel. 48
- 34.22 deg, d = 2.620 Å, rel. 79
- 35.33 deg, d = 2.540 Å, rel. 38
- 41.13 deg, d = 2.195 Å, rel. 34
- 41.78 deg, d = 2.162 Å, rel. 66
- 45.51 deg, d = 1.993 Å, rel. 63

Crystal structure
```
Nd3Ho2S8
1.0
6.958 -4.053 0.000
6.958 4.053 0.000
-2.447 0.000 6.419
Nd Ho S
3 2 8
Direct
0.000 0.000 0.000
0.264 0.736 0.500
0.736 0.264 0.500
0.262 0.262 0.845
0.738 0.738 0.155
0.104 0.637 0.081
0.122 0.122 0.440
0.363 0.896 0.919
0.383 0.383 0.615
0.617 0.617 0.385
0.637 0.104 0.081
0.878 0.878 0.560
0.896 0.363 0.919
```

---

Record 4
For NdHo5S6, a structure optimized by DFT (GGA-PBE) gives the theoretical XRD peak list in this record (Cu Kα).
No peak broadening, texture or thermal motion is included.

Largest 10 diffraction maxima, by angle, 10° ≤ 2θ ≤ 90°:
- 27.87 deg, d = 3.201 Å, rel. 41
- 27.95 deg, d = 3.192 Å, rel. 41
- 32.34 deg, d = 2.768 Å, rel. 100
- 46.33 deg, d = 1.960 Å, rel. 36
- 46.44 deg, d = 1.955 Å, rel. 36
- 54.95 deg, d = 1.671 Å, rel. 23
- 55.08 deg, d = 1.667 Å, rel. 17
- 57.58 deg, d = 1.601 Å, rel. 12
- 76.94 deg, d = 1.239 Å, rel. 16
- 85.88 deg, d = 1.132 Å, rel. 12

Crystal structure
```
NdHo5S6
1.0
3.392 -5.884 0.000
3.392 5.884 0.000
-2.276 0.000 6.379
Nd Ho S
1 5 6
Direct
0.000 0.000 0.000
0.162 0.838 0.500
0.335 0.665 0.000
0.500 0.500 0.500
0.665 0.335 0.000
0.838 0.162 0.500
0.085 0.429 0.257
0.259 0.259 0.747
0.429 0.085 0.257
0.571 0.915 0.743
0.741 0.741 0.253
0.915 0.571 0.743
```

---

Record 5
For NdHo2ScS4, a structure optimized by DFT (GGA-PBE) gives the theoretical XRD peak list in this record (Cu Kα).
No peak broadening, texture or thermal motion is included.

Largest 10 diffraction maxima, by angle, 10° ≤ 2θ ≤ 90°:
- 27.67 deg, d = 3.223 Å, rel. 17
- 28.07 deg, d = 3.179 Å, rel. 17
- 28.26 deg, d = 3.158 Å, rel. 33
- 32.52 deg, d = 2.753 Å, rel. 100
- 46.16 deg, d = 1.966 Å, rel. 12
- 46.39 deg, d = 1.957 Å, rel. 24
- 46.90 deg, d = 1.937 Å, rel. 23
- 47.17 deg, d = 1.927 Å, rel. 11
- 58.45 deg, d = 1.579 Å, rel. 12
- 68.11 deg, d = 1.377 Å, rel. 11

Crystal structure
```
NdHo2ScS4
1.0
6.723 0.000 0.000
0.000 3.854 0.000
-2.215 0.000 6.447
Nd Ho Sc S
1 2 1 4
Direct
0.000 0.000 0.000
0.500 0.000 0.500
0.500 0.500 0.000
0.000 0.500 0.500
0.246 0.000 0.736
0.257 0.500 0.266
0.743 0.500 0.734
0.754 0.000 0.264
```

---

Record 6
For Nd2Ho2Se3S2, a structure optimized by DFT (GGA-PBE) gives the theoretical XRD peak list in this record (Cu Kα).
No peak broadening, texture or thermal motion is included.

Largest 10 diffraction maxima, by angle, 10° ≤ 2θ ≤ 90°:
- 24.56 deg, d = 3.625 Å, rel. 52
- 25.54 deg, d = 3.488 Å, rel. 41
- 31.81 deg, d = 2.813 Å, rel. 100
- 33.44 deg, d = 2.679 Å, rel. 18
- 34.81 deg, d = 2.578 Å, rel. 32
- 40.60 deg, d = 2.222 Å, rel. 55
- 45.61 deg, d = 1.989 Å, rel. 36
- 47.87 deg, d = 1.900 Å, rel. 26
- 52.47 deg, d = 1.744 Å, rel. 26
- 75.58 deg, d = 1.258 Å, rel. 16

Crystal structure
```
Nd2Ho2Se3S2
1.0
-2.813 2.813 7.249
2.813 -2.813 7.249
2.813 2.813 -7.249
Nd Ho Se S
2 2 3 2
Direct
0.211 0.211 0.000
0.789 0.789 0.000
0.000 0.500 0.500
0.500 0.000 0.500
0.000 0.000 0.000
0.250 0.750 0.500
0.750 0.250 0.500
0.403 0.403 0.000
0.597 0.597 0.000
```

---

Record 7
For SrNdHo2S4, a structure optimized by DFT (GGA-PBE) gives the theoretical XRD peak list in this record (Cu Kα).
No peak broadening, texture or thermal motion is included.

Largest 10 diffraction maxima, by angle, 10° ≤ 2θ ≤ 90°:
- 26.99 deg, d = 3.304 Å, rel. 19
- 27.11 deg, d = 3.289 Å, rel. 18
- 27.36 deg, d = 3.260 Å, rel. 36
- 31.51 deg, d = 2.839 Å, rel. 100
- 44.75 deg, d = 2.025 Å, rel. 12
- 45.09 deg, d = 2.011 Å, rel. 24
- 45.25 deg, d = 2.004 Å, rel. 24
- 45.56 deg, d = 1.991 Å, rel. 12
- 53.78 deg, d = 1.704 Å, rel. 12
- 56.46 deg, d = 1.630 Å, rel. 12

Crystal structure
```
SrNdHo2S4
1.0
6.956 0.000 0.000
0.000 3.982 0.000
-2.272 0.000 6.608
Sr Nd Ho S
1 1 2 4
Direct
0.000 0.000 0.000
0.500 0.500 0.000
0.000 0.500 0.500
0.500 0.000 0.500
0.245 0.000 0.732
0.259 0.500 0.270
0.741 0.500 0.730
0.755 0.000 0.268
```

---

Record 8
For SrNdHo4S8, a structure optimized by DFT (GGA-PBE) gives the theoretical XRD peak list in this record (Cu Kα).
No peak broadening, texture or thermal motion is included.

Largest 10 diffraction maxima, by angle, 10° ≤ 2θ ≤ 90°:
- 21.61 deg, d = 4.113 Å, rel. 16
- 25.36 deg, d = 3.512 Å, rel. 31
- 25.58 deg, d = 3.482 Å, rel. 100
- 26.77 deg, d = 3.330 Å, rel. 16
- 30.91 deg, d = 2.893 Å, rel. 35
- 40.32 deg, d = 2.237 Å, rel. 16
- 40.52 deg, d = 2.226 Å, rel. 23
- 40.64 deg, d = 2.220 Å, rel. 19
- 44.03 deg, d = 2.056 Å, rel. 40
- 44.51 deg, d = 2.036 Å, rel. 39

Crystal structure
```
SrNdHo4S8
1.0
4.071 2.351 6.751
-4.071 2.351 6.751
0.000 -4.701 6.751
Sr Nd Ho S
1 1 4 8
Direct
0.000 0.000 0.000
0.628 0.628 0.628
0.121 0.628 0.628
0.252 0.252 0.252
0.628 0.121 0.628
0.628 0.628 0.121
0.378 0.378 0.858
0.378 0.858 0.378
0.384 0.384 0.384
0.417 0.869 0.869
0.858 0.378 0.378
0.862 0.862 0.862
0.869 0.417 0.869
0.869 0.869 0.417
```

---

Record 9
For Tb2NdHoS4, a structure optimized by DFT (GGA-PBE) gives the theoretical XRD peak list in this record (Cu Kα).
No peak broadening, texture or thermal motion is included.

Largest 10 diffraction maxima, by angle, 10° ≤ 2θ ≤ 90°:
- 27.33 deg, d = 3.264 Å, rel. 21
- 27.56 deg, d = 3.236 Å, rel. 20
- 27.82 deg, d = 3.206 Å, rel. 39
- 32.02 deg, d = 2.795 Å, rel. 100
- 45.43 deg, d = 1.996 Å, rel. 12
- 45.75 deg, d = 1.983 Å, rel. 24
- 46.05 deg, d = 1.971 Å, rel. 24
- 46.41 deg, d = 1.956 Å, rel. 12
- 57.48 deg, d = 1.603 Å, rel. 12
- 66.95 deg, d = 1.398 Å, rel. 12

Crystal structure
```
Tb2NdHoS4
1.0
6.844 0.000 0.000
0.000 3.913 0.000
-2.244 0.000 6.528
Tb Nd Ho S
2 1 1 4
Direct
0.000 0.000 0.000
0.000 0.500 0.500
0.500 0.000 0.500
0.500 0.500 0.000
0.243 0.500 0.240
0.249 0.000 0.757
0.751 0.000 0.243
0.757 0.500 0.760
```

---

Record 10
For NdHoTm2S4, a structure optimized by DFT (GGA-PBE) gives the theoretical XRD peak list in this record (Cu Kα).
No peak broadening, texture or thermal motion is included.

Largest 10 diffraction maxima, by angle, 10° ≤ 2θ ≤ 90°:
- 27.46 deg, d = 3.248 Å, rel. 22
- 27.89 deg, d = 3.199 Å, rel. 21
- 28.20 deg, d = 3.164 Å, rel. 40
- 32.37 deg, d = 2.766 Å, rel. 100
- 45.76 deg, d = 1.983 Å, rel. 12
- 46.15 deg, d = 1.967 Å, rel. 24
- 46.70 deg, d = 1.945 Å, rel. 24
- 47.13 deg, d = 1.928 Å, rel. 12
- 58.33 deg, d = 1.582 Å, rel. 12
- 67.77 deg, d = 1.383 Å, rel. 11

Crystal structure
```
NdHoTm2S4
1.0
6.758 0.000 0.000
0.000 3.856 0.000
-2.206 0.000 6.496
Nd Ho Tm S
1 1 2 4
Direct
0.000 0.000 0.000
0.500 0.500 0.000
0.000 0.500 0.500
0.500 0.000 0.500
0.254 0.000 0.740
0.263 0.500 0.266
0.737 0.500 0.734
0.746 0.000 0.260
```

---

Record 11
For NdHo3Sb3, a structure optimized by DFT (GGA-PBE) gives the theoretical XRD peak list in this record (Cu Kα).
No peak broadening, texture or thermal motion is included.

Largest 10 diffraction maxima, by angle, 10° ≤ 2θ ≤ 90°:
- 30.57 deg, d = 2.924 Å, rel. 100
- 36.35 deg, d = 2.472 Å, rel. 68
- 43.78 deg, d = 2.068 Å, rel. 9
- 46.03 deg, d = 1.972 Å, rel. 8
- 48.21 deg, d = 1.888 Å, rel. 18
- 50.31 deg, d = 1.814 Å, rel. 24
- 61.85 deg, d = 1.500 Å, rel. 25
- 63.64 deg, d = 1.462 Å, rel. 12
- 65.40 deg, d = 1.427 Å, rel. 15
- 75.55 deg, d = 1.258 Å, rel. 14

Crystal structure
```
NdHo3Sb3
1.0
9.248 0.000 0.000
0.000 9.248 0.000
0.000 0.000 9.248
Nd Ho Sb
4 12 12
Direct
0.070 0.430 0.570
0.430 0.570 0.070
0.570 0.070 0.430
0.930 0.930 0.930
0.077 0.577 0.923
0.178 0.822 0.322
0.180 0.180 0.180
0.320 0.820 0.680
0.322 0.178 0.822
0.423 0.423 0.423
0.577 0.923 0.077
0.678 0.678 0.678
0.680 0.320 0.820
0.820 0.680 0.320
0.822 0.322 0.178
0.923 0.077 0.577
0.002 0.257 0.879
0.121 0.502 0.243
0.243 0.121 0.502
0.257 0.879 0.002
0.379 0.498 0.743
0.498 0.743 0.379
0.502 0.243 0.121
0.621 0.998 0.757
0.743 0.379 0.498
0.757 0.621 0.998
0.879 0.002 0.257
0.998 0.757 0.621
```

---

Record 12
For Nd2HoSb3, a structure optimized by DFT (GGA-PBE) gives the theoretical XRD peak list in this record (Cu Kα).
No peak broadening, texture or thermal motion is included.

Largest 10 diffraction maxima, by angle, 10° ≤ 2θ ≤ 90°:
- 24.37 deg, d = 3.653 Å, rel. 2
- 28.21 deg, d = 3.164 Å, rel. 100
- 40.32 deg, d = 2.237 Å, rel. 76
- 47.67 deg, d = 1.908 Å, rel. 1
- 49.93 deg, d = 1.826 Å, rel. 27
- 58.34 deg, d = 1.582 Å, rel. 13
- 66.04 deg, d = 1.415 Å, rel. 35
- 73.30 deg, d = 1.292 Å, rel. 26
- 87.12 deg, d = 1.119 Å, rel. 7
- 87.24 deg, d = 1.117 Å, rel. 1

Crystal structure
```
Nd2HoSb3
1.0
-2.238 3.165 6.705
2.238 -3.165 6.705
2.238 3.165 -6.705
Nd Ho Sb
2 1 3
Direct
0.168 0.168 0.000
0.832 0.832 0.000
0.500 0.500 0.000
0.000 0.500 0.500
0.339 0.839 0.500
0.661 0.161 0.500
```

---

Record 13
For NdHo2TmSb4, a structure optimized by DFT (GGA-PBE) gives the theoretical XRD peak list in this record (Cu Kα).
No peak broadening, texture or thermal motion is included.

Largest 10 diffraction maxima, by angle, 10° ≤ 2θ ≤ 90°:
- 24.78 deg, d = 3.593 Å, rel. 3
- 28.69 deg, d = 3.112 Å, rel. 100
- 41.02 deg, d = 2.201 Å, rel. 76
- 48.51 deg, d = 1.877 Å, rel. 2
- 50.82 deg, d = 1.797 Å, rel. 27
- 59.40 deg, d = 1.556 Å, rel. 13
- 65.35 deg, d = 1.428 Å, rel. 1
- 67.27 deg, d = 1.392 Å, rel. 35
- 74.72 deg, d = 1.270 Å, rel. 26
- 88.96 deg, d = 1.100 Å, rel. 9

Crystal structure
```
NdHo2TmSb4
1.0
-3.112 3.112 6.222
3.112 -3.112 6.222
3.112 3.112 -6.222
Nd Ho Tm Sb
1 2 1 4
Direct
0.000 0.000 0.000
0.250 0.750 0.500
0.750 0.250 0.500
0.500 0.500 0.000
0.000 0.500 0.500
0.255 0.255 0.000
0.500 0.000 0.500
0.745 0.745 0.000
```